(1)
Structure and calculated X-ray diffraction stick pattern of NaLaCdTe3 (a cell relaxed with PBE; λ = 1.5418 Å (Cu Kα)).
Intensities are scaled so that the largest is 100.

Crystal structure
abc: 12.1055 4.5393 14.7091
angles: 90.00 90.00 90.00
Space group Pnma (No. 62)
One atom of each set of equivalent atoms:
Na (0.2349, 0.2500, 0.0197)
La (0.0069, 0.7500, 0.7459)
Cd (0.2438, 0.7500, 0.2243)
Te (0.0581, 0.7500, 0.1077)
Te (0.0762, 0.2500, 0.6020)
Te (0.2448, 0.2500, 0.3447)

Most intense lines, 2θ from 15° to 90°, low angle first:
2θ 21.77, rel. 27, hkl 1 1 1
2θ 25.18, rel. 43, hkl 3 0 2
2θ 27.78, rel. 41, hkl 1 1 3
2θ 30.64, rel. 100, hkl 2 1 3
2θ 39.42, rel. 34, hkl 2 1 5
2θ 39.70, rel. 42, hkl 0 2 0


(2)
Structure and calculated X-ray diffraction stick pattern of NaLaCdTe3 (a cell relaxed with PBE; λ = 1.5418 Å (Cu Kα)).
Intensities are scaled so that the largest is 100.

Crystal structure
abc: 15.0485 4.5692 12.3840
angles: 90.00 90.00 90.00
Space group Pnma (No. 62)
One atom of each set of equivalent atoms:
Na (0.2389, 0.2500, 0.0802)
La (0.0192, 0.2500, 0.3401)
Cd (0.0119, 0.7500, 0.0968)
Te (0.1063, 0.7500, 0.8861)
Te (0.1122, 0.2500, 0.5723)
Te (0.1513, 0.7500, 0.2490)

Most intense lines, 2θ from 15° to 90°, low angle first:
2θ 21.55, rel. 34, hkl 1 1 1
2θ 24.60, rel. 78, hkl 2 0 3
2θ 27.37, rel. 75, hkl 3 1 1
2θ 30.14, rel. 100, hkl 3 1 2
2θ 38.67, rel. 86, hkl 5 1 2
2θ 39.44, rel. 49, hkl 0 2 0


(3)
Structure and calculated X-ray diffraction stick pattern of La2Cd4NiPt (a cell relaxed with PBE; λ = 1.5418 Å (Cu Kα)).
Intensities are scaled so that the largest is 100.

Crystal structure
abc: 8.4672 4.2778 10.0402
angles: 90.00 90.00 90.00
Space group Amm2 (No. 38)
One atom of each set of equivalent atoms:
La (0.0000, 0.0000, 0.0000)
La (0.5000, 0.0000, 0.1288)
Cd (0.2096, 0.0000, 0.7126)
Cd (0.3083, 0.0000, 0.4206)
Ni (0.5000, 0.0000, 0.8460)
Pt (0.0000, 0.0000, 0.2891)

Most intense lines, 2θ from 15° to 90°, low angle first:
2θ 31.03, rel. 100, hkl 2 1 1
2θ 35.68, rel. 71, hkl 1 1 3
2θ 37.37, rel. 28, hkl 1 0 4
2θ 39.28, rel. 34, hkl 3 1 1
2θ 40.31, rel. 25, hkl 2 1 3
2θ 42.25, rel. 36, hkl 0 2 0


(4)
Structure and calculated X-ray diffraction stick pattern of LaPrCd2Sb2O2 (a cell relaxed with PBE; λ = 1.5418 Å (Cu Kα)).
Intensities are scaled so that the largest is 100.

Crystal structure
abc: 4.3314 4.3314 9.7472
angles: 90.00 90.00 90.00
Space group P4mm (No. 99)
One atom of each set of equivalent atoms:
La (0.0000, 0.0000, 0.0000)
Pr (0.5000, 0.5000, 0.7759)
Cd (0.0000, 0.5000, 0.3877)
Sb (0.0000, 0.0000, 0.5905)
Sb (0.5000, 0.5000, 0.1872)
O (0.0000, 0.5000, 0.8879)

Most intense lines, 2θ from 15° to 90°, low angle first:
2θ 27.55, rel. 99, hkl 1 0 2
2θ 30.60, rel. 48, hkl 1 1 1
2θ 34.55, rel. 100, hkl 1 1 2
2θ 41.71, rel. 56, hkl 2 0 0
2θ 50.71, rel. 38, hkl 2 1 2
2θ 64.29, rel. 24, hkl 2 0 5